Record 1
Diffraction record for Pr2NdSm7. The powder diffractogram is theoretical, not measured: it uses a crystal structure in Alexandria, relaxed with PBE and Cu Kα (weighted mean of Kα1 and Kα2).

Atomic structure:
Lattice parameters (Å, degrees): 6.3219 6.3262 9.6651 102.58 109.06 99.63
Fractional positions:
Pr  0.1995  0.9997  0.3991
Pr  0.8005  0.0003  0.6009
Nd  0.0000  0.0000  0.0000
Sm  0.0000  0.5000  0.5000
Sm  0.2011  0.5014  0.9005
Sm  0.4004  0.0007  0.8012
Sm  0.4008  0.4997  0.2994
Sm  0.5992  0.5003  0.7006
Sm  0.5996  0.9993  0.1988
Sm  0.7989  0.4986  0.0995

Top 8 peaks for 10° ≤ 2θ ≤ 90°, in order of rising 2θ:
d 2.982, 30.0°, intensity 100; d 2.582, 34.7°, intensity 51; d 1.826, 49.9°, intensity 36; d 1.557, 59.3°, intensity 43; d 1.491, 62.3°, intensity 9; d 1.291, 73.3°, intensity 6; d 1.185, 81.2°, intensity 15; d 1.155, 83.7°, intensity 11

Record 2
Diffraction record for TlHgI3. The powder diffractogram is theoretical, not measured: it uses a crystal structure in Alexandria, relaxed with PBE and Cu Kα (weighted mean of Kα1 and Kα2).

Atomic structure:
Lattice parameters (Å, degrees): 8.5577 8.4464 14.0709 90.00 120.02 90.00
Fractional positions:
Tl  0.1456  0.0997  0.2058
Tl  0.1456  0.4003  0.7058
Tl  0.8544  0.5997  0.2942
Tl  0.8544  0.9003  0.7942
Hg  0.2609  0.5614  0.0741
Hg  0.2609  0.9386  0.5741
Hg  0.7391  0.0614  0.4259
Hg  0.7391  0.4386  0.9259
I  0.0590  0.2442  0.4414
I  0.0590  0.2558  0.9414
I  0.2983  0.7142  0.9155
I  0.2983  0.7858  0.4155
I  0.4436  0.0609  0.7818
I  0.4436  0.4391  0.2818
I  0.5564  0.5609  0.7182
I  0.5564  0.9391  0.2182
I  0.7017  0.2142  0.5845
I  0.7017  0.2858  0.0845
I  0.9410  0.7442  0.0586
I  0.9410  0.7558  0.5586

Top 8 peaks for 10° ≤ 2θ ≤ 90°, in order of rising 2θ:
d 6.941, 12.8°, intensity 37; d 3.741, 23.8°, intensity 100; d 3.663, 24.3°, intensity 37; d 3.295, 27.1°, intensity 74; d 3.233, 27.6°, intensity 58; d 2.684, 33.4°, intensity 49; d 2.589, 34.6°, intensity 51; d 2.343, 38.4°, intensity 65

Record 3
Diffraction record for RbNa2P3H6O12. The powder diffractogram is theoretical, not measured: it uses a crystal structure in Alexandria, relaxed with PBE and Cu Kα (weighted mean of Kα1 and Kα2).

Atomic structure:
Lattice parameters (Å, degrees): 7.6995 8.8550 9.8808 65.39 84.90 78.25
Fractional positions:
Rb  0.2494  0.3439  0.1215
Rb  0.7506  0.6561  0.8785
Na  0.0350  0.2701  0.7941
Na  0.3496  0.0293  0.6378
Na  0.6504  0.9707  0.3622
Na  0.9650  0.7299  0.2059
P  0.2453  0.8735  0.3846
P  0.2574  0.6255  0.7053
P  0.4217  0.6372  0.2547
P  0.5783  0.3628  0.7453
P  0.7426  0.3745  0.2947
P  0.7547  0.1265  0.6154
H  0.0130  0.0988  0.1231
H  0.0555  0.2940  0.5028
H  0.1530  0.7605  0.9071
H  0.2063  0.3993  0.4585
H  0.3376  0.9414  0.9582
H  0.3909  0.1207  0.8902
H  0.6091  0.8793  0.1098
H  0.6624  0.0586  0.0418
H  0.7937  0.6007  0.5415
H  0.8470  0.2395  0.0929
H  0.9445  0.7060  0.4972
H  0.9870  0.9012  0.8769
O  0.0430  0.7924  0.9554
O  0.0992  0.9232  0.2756
O  0.1213  0.5241  0.7949
O  0.1628  0.3048  0.5419
O  0.1693  0.7454  0.5417
O  0.2583  0.5602  0.2811
O  0.3112  0.0540  0.8754
O  0.3243  0.0029  0.4073
O  0.3342  0.7286  0.7653
O  0.4134  0.7519  0.3485
O  0.4149  0.5071  0.6550
O  0.4779  0.7373  0.0976
O  0.5221  0.2627  0.9024
O  0.5851  0.4929  0.3450
O  0.5866  0.2481  0.6515
O  0.6658  0.2714  0.2347
O  0.6757  0.9971  0.5927
O  0.6888  0.9460  0.1246
O  0.7417  0.4398  0.7189
O  0.8307  0.2546  0.4583
O  0.8372  0.6952  0.4581
O  0.8787  0.4759  0.2051
O  0.9008  0.0768  0.7244
O  0.9570  0.2076  0.0446

Top 8 peaks for 10° ≤ 2θ ≤ 90°, in order of rising 2θ:
d 7.913, 11.2°, intensity 32; d 5.959, 14.9°, intensity 42; d 3.967, 22.4°, intensity 32; d 3.769, 23.6°, intensity 34; d 3.361, 26.5°, intensity 37; d 3.199, 27.9°, intensity 32; d 3.180, 28.1°, intensity 80; d 3.162, 28.2°, intensity 100

Record 4
Diffraction record for Tb2Pr8Nd3. The powder diffractogram is theoretical, not measured: it uses a crystal structure in Alexandria, relaxed with PBE and Cu Kα (weighted mean of Kα1 and Kα2).

Atomic structure:
Lattice parameters (Å, degrees): 11.0798 11.0798 5.8707 90.05 90.05 41.15
Fractional positions:
Tb  0.2413  0.2413  0.4979
Tb  0.7587  0.7587  0.5021
Pr  0.1346  0.1346  0.9992
Pr  0.1850  0.6004  0.4996
Pr  0.3253  0.3253  0.9983
Pr  0.3996  0.8150  0.5004
Pr  0.6004  0.1850  0.4996
Pr  0.6747  0.6747  0.0017
Pr  0.8150  0.3996  0.5004
Pr  0.8654  0.8654  0.0008
Nd  0.0000  0.0000  0.5000
Nd  0.2869  0.7131  0.0000
Nd  0.7131  0.2869  0.0000

Top 8 peaks for 10° ≤ 2θ ≤ 90°, in order of rising 2θ:
d 3.645, 24.4°, intensity 24; d 3.107, 28.7°, intensity 38; d 2.979, 30.0°, intensity 37; d 2.935, 30.5°, intensity 46; d 2.751, 32.6°, intensity 100; d 2.286, 39.4°, intensity 14; d 1.946, 46.7°, intensity 14; d 1.657, 55.5°, intensity 22

Record 5
Diffraction record for ScSbTe2. The powder diffractogram is theoretical, not measured: it uses a crystal structure in Alexandria, relaxed with PBE and Cu Kα (weighted mean of Kα1 and Kα2).

Atomic structure:
Lattice parameters (Å, degrees): 7.7028 7.7028 7.7028 148.13 145.70 47.52
Fractional positions:
Sc  0.0000  0.0000  0.0000
Sb  0.5000  0.5000  0.0000
Te  0.1499  0.6499  0.5000
Te  0.8501  0.3501  0.5000

Top 8 peaks for 10° ≤ 2θ ≤ 90°, in order of rising 2θ:
d 7.050, 12.6°, intensity 25; d 4.051, 21.9°, intensity 80; d 3.266, 27.3°, intensity 92; d 2.834, 31.6°, intensity 77; d 2.350, 38.3°, intensity 28; d 2.326, 38.7°, intensity 100; d 2.271, 39.7°, intensity 30; d 1.775, 51.5°, intensity 32

Record 6
Diffraction record for LiCaCdGa. The powder diffractogram is theoretical, not measured: it uses a crystal structure in Alexandria, relaxed with PBE and Cu Kα (weighted mean of Kα1 and Kα2).

Atomic structure:
Lattice parameters (Å, degrees): 4.8944 4.8944 4.8944 60.00 60.00 60.00
Fractional positions:
Li  0.0000  0.0000  0.0000
Ca  0.7500  0.7500  0.7500
Cd  0.2500  0.2500  0.2500
Ga  0.5000  0.5000  0.5000

Top 8 peaks for 10° ≤ 2θ ≤ 90°, in order of rising 2θ:
d 3.996, 22.2°, intensity 43; d 3.461, 25.7°, intensity 15; d 2.447, 36.7°, intensity 100; d 2.087, 43.4°, intensity 23; d 1.730, 52.9°, intensity 17; d 1.413, 66.1°, intensity 33; d 1.224, 78.1°, intensity 10; d 1.094, 89.6°, intensity 14